# 1
Simulated PXRD pattern
Compound: ScGa4Fe3Co8
Radiation: λ = 1.5418 Å (Cu Kα)
Structure: a structure optimized by DFT (GGA-PBE)
No peak broadening, texture or thermal motion is included.

```
data_ScGa4Fe3Co8
_cell_length_a 4.0926
_cell_length_b 4.0926
_cell_length_c 40.0797
_cell_angle_alpha 90.00
_cell_angle_beta 90.00
_cell_angle_gamma 120.00
_space_group_name_H-M_alt 'R -3 m'
_space_group_IT_number 166
_space_group_name_Hall '-R 3 2"'
loop_
_atom_site_label
_atom_site_fract_x
_atom_site_fract_y
_atom_site_fract_z
Sc1 0.0000 0.0000 0.0000
Ga1 0.0000 0.0000 0.1260
Ga2 0.0000 0.0000 0.3765
Fe1 0.0000 0.0000 0.2487
Fe2 0.0000 0.0000 0.5000
Co1 0.0000 0.0000 0.0652
Co2 0.0000 0.0000 0.1872
Co3 0.0000 0.0000 0.3096
Co4 0.0000 0.0000 0.4386
```

Top 6 peaks for 15° ≤ 2θ ≤ 90°, by angle:
| 2θ (°) | Rel. int. | (hkl) |
| --- | --- | --- |
| 26.68 | 1 | 0 0 12 |
| 44.27 | 100 | 1 1 0 |
| 50.34 | 1 | 1 0 19 |
| 52.44 | 1 | 1 1 12 |
| 64.40 | 15 | 0 2 16 |
| 81.48 | 29 | 3 0 0 |

# 2
Simulated PXRD pattern
Compound: GaCu3N3
Radiation: λ = 1.5418 Å (Cu Kα)
Structure: a structure optimized by DFT (GGA-PBE)
No peak broadening, texture or thermal motion is included.

```
data_GaCu3N3
_cell_length_a 4.142
_cell_length_b 4.142
_cell_length_c 4.142
_cell_angle_alpha 90.00
_cell_angle_beta 90.00
_cell_angle_gamma 90.00
_space_group_name_H-M_alt 'P m -3 m'
_space_group_IT_number 221
_space_group_name_Hall '-P 4 2 3'
loop_
_atom_site_label
_atom_site_fract_x
_atom_site_fract_y
_atom_site_fract_z
Ga1 0.000 0.000 0.000
Cu1 0.000 0.500 0.500
N1 0.000 0.000 0.500
```

Top 7 peaks for 15° ≤ 2θ ≤ 90°, by angle:
| 2θ (°) | Rel. int. | (hkl) |
| --- | --- | --- |
| 21.45 | 2 | 1 0 0 |
| 37.61 | 100 | 1 1 1 |
| 43.71 | 84 | 2 0 0 |
| 49.19 | 1 | 2 1 0 |
| 63.53 | 49 | 2 2 0 |
| 76.24 | 36 | 3 1 1 |
| 80.29 | 16 | 2 2 2 |

# 3
Simulated PXRD pattern
Compound: Ba2NdCu3O7
Radiation: λ = 1.5418 Å (Cu Kα)
Structure: a structure optimized by DFT (GGA-PBE)
No peak broadening, texture or thermal motion is included.

```
data_Ba2NdCu3O7
_cell_length_a 3.894
_cell_length_b 3.958
_cell_length_c 11.899
_cell_angle_alpha 90.00
_cell_angle_beta 90.00
_cell_angle_gamma 90.00
_space_group_name_H-M_alt 'P m m m'
_space_group_IT_number 47
loop_
_space_group_symop_operation_xyz
'x,y,z'
'-x,-y,-z'
'-x,-y,z'
'x,y,-z'
'x,-y,-z'
'-x,y,z'
'-x,y,-z'
'x,-y,z'
loop_
_atom_site_label
_atom_site_fract_x
_atom_site_fract_y
_atom_site_fract_z
Ba1 0.000 0.000 0.179
Nd1 0.000 0.000 0.500
Cu1 0.500 0.500 0.000
Cu2 0.500 0.500 0.347
O1 0.000 0.500 0.372
O2 0.500 0.000 0.000
O3 0.500 0.000 0.371
O4 0.500 0.500 0.158
```

Top 8 peaks for 15° ≤ 2θ ≤ 90°, by angle:
| 2θ (°) | Rel. int. | (hkl) |
| --- | --- | --- |
| 31.94 | 47 | 0 1 3 |
| 32.23 | 100 | 1 0 3 |
| 39.63 | 15 | 1 1 3 |
| 45.81 | 25 | 0 2 0 |
| 46.65 | 14 | 2 0 0 |
| 57.11 | 39 | 1 2 3 |
| 57.66 | 17 | 2 1 3 |
| 67.45 | 15 | 2 2 0 |